Record 1
Simulated X-ray powder pattern
Compound: Cr3Pt2O8
Radiation: Cu Kα (λ = 1.5418 Å)
Structure: a DFT-relaxed cell (PBE+U, Alexandria)
No peak broadening, texture or thermal motion is included.

Peak list (10 most intense, 5 to 70 degrees two-theta, low angle first)
| 2theta | d/Å | I (rel.) |
| --- | --- | --- |
| 17.82 | 4.978 | 100 |
| 25.30 | 3.521 | 77 |
| 26.50 | 3.364 | 66 |
| 28.83 | 3.097 | 32 |
| 34.10 | 2.629 | 88 |
| 34.56 | 2.595 | 58 |
| 36.09 | 2.489 | 36 |
| 50.14 | 1.819 | 31 |
| 51.15 | 1.786 | 32 |
| 52.49 | 1.743 | 31 |

Structural model:
```
data_Cr3Pt2O8
_symmetry_space_group_name_H-M 'P 1'
_symmetry_Int_Tables_number 1
_cell_length_a 5.6815
_cell_length_b 5.6815
_cell_length_c 4.9832
_cell_angle_alpha 92.19
_cell_angle_beta 92.19
_cell_angle_gamma 66.05
loop_
_symmetry_equiv_pos_as_xyz
'x,y,z'
loop_
_atom_site_label
_atom_site_fract_x
_atom_site_fract_y
_atom_site_fract_z
_atom_site_occupancy
Cr1 0.0000 0.0000 0.0000 1
Cr2 0.2537 0.7463 0.5000 1
Cr3 0.7463 0.2537 0.5000 1
Pt1 0.2739 0.2739 0.0053 1
Pt2 0.7261 0.7261 0.9947 1
O1 0.0978 0.6389 0.8337 1
O2 0.1108 0.1108 0.6814 1
O3 0.3611 0.9022 0.1663 1
O4 0.3989 0.3989 0.3343 1
O5 0.6011 0.6011 0.6657 1
O6 0.6389 0.0978 0.8337 1
O7 0.8892 0.8892 0.3186 1
O8 0.9022 0.3611 0.1663 1
```

=====

Record 2
Simulated X-ray powder pattern
Compound: CrTePtO6
Radiation: Cu Kα (λ = 1.5418 Å)
Structure: a DFT-relaxed cell (PBE+U, Alexandria)
No peak broadening, texture or thermal motion is included.

Peak list (10 most intense, 5 to 70 degrees two-theta, low angle first)
| 2theta | d/Å | I (rel.) |
| --- | --- | --- |
| 21.05 | 4.220 | 32 |
| 26.76 | 3.331 | 100 |
| 32.85 | 2.727 | 12 |
| 34.13 | 2.627 | 81 |
| 38.21 | 2.355 | 23 |
| 52.16 | 1.754 | 66 |
| 55.14 | 1.666 | 16 |
| 62.33 | 1.490 | 15 |
| 65.29 | 1.429 | 15 |
| 66.47 | 1.407 | 19 |

Structural model:
```
data_CrTePtO6
_symmetry_space_group_name_H-M 'P 1'
_symmetry_Int_Tables_number 1
_cell_length_a 4.7109
_cell_length_b 4.7109
_cell_length_c 9.4934
_cell_angle_alpha 90.00
_cell_angle_beta 90.00
_cell_angle_gamma 90.00
loop_
_symmetry_equiv_pos_as_xyz
'x,y,z'
loop_
_atom_site_label
_atom_site_fract_x
_atom_site_fract_y
_atom_site_fract_z
_atom_site_occupancy
Cr1 0.0000 0.0000 0.0000 1
Cr2 0.5000 0.5000 0.5000 1
Te1 0.0000 0.0000 0.3317 1
Te2 0.5000 0.5000 0.8317 1
Pt1 0.0000 0.0000 0.6657 1
Pt2 0.5000 0.5000 0.1657 1
O1 0.1904 0.1904 0.8349 1
O2 0.1935 0.1935 0.1657 1
O3 0.1943 0.1943 0.4989 1
O4 0.3057 0.6943 0.9989 1
O5 0.3065 0.6935 0.6657 1
O6 0.3096 0.6904 0.3349 1
O7 0.6904 0.3096 0.3349 1
O8 0.6935 0.3065 0.6657 1
O9 0.6943 0.3057 0.9989 1
O10 0.8057 0.8057 0.4989 1
O11 0.8065 0.8065 0.1657 1
O12 0.8096 0.8096 0.8349 1
```